# Y4Ho3Tm5
Theoretical powder X-ray diffraction pattern, copper Kα. Input: a cell relaxed with PBE.

Top 10 peaks for 10 to 80 degrees two-theta, in order of rising 2θ:
- 2θ = 31.1°, intensity 100, (2 0 0)
- 2θ = 31.1°, intensity 34, (1 2 -2)
- 2θ = 35.9°, intensity 45, (1 2 1)
- 2θ = 36.2°, intensity 22, (2 0 -3)
- 2θ = 51.8°, intensity 8, (0 4 -1)
- 2θ = 52.0°, intensity 24, (1 2 -5)
- 2θ = 61.6°, intensity 28, (3 2 1)
- 2θ = 61.6°, intensity 9, (0 4 2)
- 2θ = 62.0°, intensity 14, (3 2 -5)
- 2θ = 64.8°, intensity 16, (4 0 0)

Crystal structure
```
Y4Ho3Tm5
1.0
6.0901 0.0000 0.0000
-0.0071 7.0636 0.0000
-2.9714 -1.7690 8.6350
Y Ho Tm
4 3 5
Direct
0.0012 0.1682 0.1681 Y
0.4988 0.0843 0.8318 Y
0.5012 0.9157 0.1682 Y
0.9988 0.8318 0.8319 Y
0.0000 0.0000 0.5000 Ho
0.5000 0.4179 0.1679 Ho
0.5000 0.5821 0.8321 Ho
0.0000 0.5000 0.5000 Tm
0.0007 0.3347 0.8328 Tm
0.4973 0.7487 0.4990 Tm
0.5027 0.2513 0.5010 Tm
0.9993 0.6653 0.1672 Tm
```